Structure and theoretical X-ray powder pattern of Ti3H4 (the GGA-PBE geometry in Alexandria; Cu Kα).
Kinematic intensities with the Lorentz-polarization factor, no thermal factor.

Structural model:
Cell lengths 5.5954, 5.5954, 5.5954 Å; angles 60.00, 60.00, 60.00 degrees
Sites, in units of the cell vectors:
Ti: 0.0000 0.0000 0.0000
Ti: 0.0000 0.0000 0.5000
Ti: 0.0000 0.5000 0.0000
Ti: 0.3750 0.3750 0.3750
Ti: 0.5000 0.0000 0.0000
Ti: 0.6250 0.6250 0.6250
H: 0.2127 0.7624 0.7624
H: 0.2376 0.2376 0.2376
H: 0.2376 0.2376 0.7873
H: 0.2376 0.7873 0.2376
H: 0.7624 0.2127 0.7624
H: 0.7624 0.7624 0.2127
H: 0.7624 0.7624 0.7624
H: 0.7873 0.2376 0.2376

Most intense lines, 10° ≤ 2θ ≤ 90°, sorted by position:
Position (°2θ)  Rel. int.
19.4  7
32.0  28
37.7  100
39.4  36
45.9  6
50.3  1
57.0  9
60.8  29
66.9  25
76.1  4
79.4  9
80.5  12

Structure and theoretical X-ray powder pattern of CaSmSi2 (the GGA-PBE geometry in Alexandria; Cu Kα).
Kinematic intensities with the Lorentz-polarization factor, no thermal factor.

Structural model:
Cell lengths 3.8782, 5.8248, 8.2384 Å; angles 90.00, 90.00, 90.00 degrees
Sites, in units of the cell vectors:
Ca: 0.0000 0.1385 0.0000
Ca: 0.0000 0.8615 0.5000
Sm: 0.5000 0.3588 0.3591
Sm: 0.5000 0.6412 0.8591
Si: 0.0000 0.3772 0.6434
Si: 0.0000 0.6228 0.1434
Si: 0.5000 0.1349 0.7135
Si: 0.5000 0.8651 0.2135

Most intense lines, 10° ≤ 2θ ≤ 90°, sorted by position:
Position (°2θ)  Rel. int.
15.2  33
18.7  55
21.6  37
22.9  32
29.7  100
31.7  87
32.6  83
35.3  58
36.2  56
40.2  72
46.8  48
58.2  42

> Number 1 is which compound?

Ti3H4